# LaCd6Ag
Simulated powder diffraction line list, Cu Ka. Input: a DFT-relaxed cell (GGA-PBE, Alexandria).
Lines closer than 0.1° are merged.

Atomic structure:
abc: 5.880 10.166 6.682
angles: 90.00 90.00 90.00
Space group Cmmm (No. 65)
One atom of each set of equivalent atoms:
La  0.000  0.000  0.000
Cd  0.000  0.500  0.263
Cd  0.250  0.250  0.264
Ag  0.000  0.000  0.500

Largest 8 diffraction maxima, low angle first, 2θ from 5° to 70°:
| 2θ/deg | I_rel |
| --- | --- |
| 26.68 | 15 |
| 32.05 | 67 |
| 35.28 | 100 |
| 40.91 | 34 |
| 44.78 | 21 |
| 55.11 | 27 |
| 63.33 | 17 |
| 67.02 | 26 |